1.
For LiAlSiH2O5, a cell relaxed with GGA-PBE gives the computed XRD peak list in this record (Cu Kα (λ = 1.5418 Å)).

Atomic structure:
a b c (Å): 11.430 8.410 5.044
angles (deg): 90.00 90.00 90.00
Element x y z (fractional)
Li: 0.119 0.215 0.000
Li: 0.381 0.715 0.500
Li: 0.619 0.285 0.000
Li: 0.881 0.785 0.500
Al: 0.146 0.864 0.122
Al: 0.354 0.364 0.622
Al: 0.646 0.636 0.122
Al: 0.854 0.136 0.622
Si: 0.227 0.042 0.590
Si: 0.273 0.542 0.090
Si: 0.727 0.458 0.590
Si: 0.773 0.958 0.090
H: 0.029 0.657 0.204
H: 0.104 0.490 0.882
H: 0.396 0.990 0.382
H: 0.471 0.157 0.704
H: 0.529 0.843 0.204
H: 0.604 0.010 0.882
H: 0.896 0.510 0.382
H: 0.971 0.343 0.704
O: 0.015 0.770 0.226
O: 0.135 0.462 0.056
O: 0.157 0.928 0.792
O: 0.170 0.044 0.293
O: 0.244 0.221 0.704
O: 0.256 0.721 0.204
O: 0.330 0.544 0.793
O: 0.343 0.428 0.292
O: 0.365 0.962 0.556
O: 0.485 0.270 0.726
O: 0.515 0.730 0.226
O: 0.635 0.038 0.056
O: 0.657 0.572 0.792
O: 0.670 0.456 0.293
O: 0.744 0.279 0.704
O: 0.756 0.779 0.204
O: 0.830 0.956 0.793
O: 0.843 0.072 0.292
O: 0.865 0.538 0.556
O: 0.985 0.230 0.726

Peak list (12 most intense, 5 to 70 degrees two-theta, sorted by position)
- 6.774 Å, rel. 50
- 5.715 Å, rel. 100
- 4.326 Å, rel. 82
- 4.046 Å, rel. 53
- 3.782 Å, rel. 43
- 3.470 Å, rel. 44
- 3.387 Å, rel. 28
- 2.859 Å, rel. 15
- 2.522 Å, rel. 19
- 2.464 Å, rel. 18
- 2.450 Å, rel. 16
- 2.396 Å, rel. 26

2.
For LiAlPH, a cell relaxed with GGA-PBE gives the computed XRD peak list in this record (Cu Kα (λ = 1.5418 Å)).

Atomic structure:
a b c (Å): 3.362 3.436 5.024
angles (deg): 90.00 94.73 90.00
Element x y z (fractional)
Li: 0.000 0.000 0.000
Al: 0.917 0.500 0.473
P: 0.432 0.000 0.601
H: 0.888 0.500 0.139

Peak list (12 most intense, 5 to 70 degrees two-theta, sorted by position)
- 5.007 Å, rel. 100
- 2.833 Å, rel. 12
- 2.504 Å, rel. 14
- 2.399 Å, rel. 35
- 2.215 Å, rel. 30
- 2.115 Å, rel. 25
- 2.023 Å, rel. 10
- 1.786 Å, rel. 7
- 1.718 Å, rel. 8
- 1.625 Å, rel. 7
- 1.501 Å, rel. 9
- 1.448 Å, rel. 7

3.
For LiAlPH, a cell relaxed with GGA-PBE gives the computed XRD peak list in this record (Cu Kα (λ = 1.5418 Å)).

Atomic structure:
a b c (Å): 3.778 3.781 5.450
angles (deg): 69.97 69.88 60.09
Element x y z (fractional)
Li: 0.000 0.000 0.000
Al: 0.814 0.808 0.561
P: 0.205 0.199 0.387
H: 0.703 0.699 0.894

Peak list (12 most intense, 5 to 70 degrees two-theta, sorted by position)
- 5.003 Å, rel. 100
- 3.199 Å, rel. 28
- 3.001 Å, rel. 70
- 2.501 Å, rel. 8
- 2.214 Å, rel. 41
- 2.210 Å, rel. 20
- 1.890 Å, rel. 40
- 1.770 Å, rel. 20
- 1.766 Å, rel. 10
- 1.630 Å, rel. 7
- 1.627 Å, rel. 11
- 1.366 Å, rel. 8

4.
For LiPmAlH6, a cell relaxed with GGA-PBE gives the computed XRD peak list in this record (Cu Kα (λ = 1.5418 Å)).

Atomic structure:
a b c (Å): 4.439 4.439 4.604
angles (deg): 90.00 90.00 120.00
Element x y z (fractional)
Li: 0.000 0.000 0.000
Pm: 0.333 0.667 0.500
Al: 0.667 0.333 0.000
H: 0.337 0.169 0.267
H: 0.337 0.169 0.733
H: 0.831 0.169 0.267
H: 0.831 0.169 0.733
H: 0.831 0.663 0.267
H: 0.831 0.663 0.733

Peak list (12 most intense, 5 to 70 degrees two-theta, sorted by position)
- 4.604 Å, rel. 25
- 3.844 Å, rel. 60
- 2.951 Å, rel. 100
- 2.302 Å, rel. 9
- 2.220 Å, rel. 26
- 1.999 Å, rel. 16
- 1.975 Å, rel. 21
- 1.922 Å, rel. 10
- 1.774 Å, rel. 23
- 1.598 Å, rel. 19
- 1.425 Å, rel. 11
- 1.386 Å, rel. 20

5.
For LuAlH, a cell relaxed with GGA-PBE gives the computed XRD peak list in this record (Cu Kα (λ = 1.5418 Å)).

Atomic structure:
a b c (Å): 10.032 10.032 3.918
angles (deg): 90.00 90.00 90.00
Element x y z (fractional)
Lu: 0.109 0.167 0.000
Lu: 0.167 0.891 0.500
Lu: 0.333 0.391 0.500
Lu: 0.391 0.667 0.000
Lu: 0.609 0.333 0.000
Lu: 0.667 0.609 0.500
Lu: 0.833 0.109 0.500
Lu: 0.891 0.833 0.000
Al: 0.001 0.635 0.500
Al: 0.135 0.501 0.000
Al: 0.365 0.001 0.000
Al: 0.499 0.135 0.500
Al: 0.501 0.865 0.500
Al: 0.635 0.999 0.000
Al: 0.865 0.499 0.000
Al: 0.999 0.365 0.500
H: 0.078 0.084 0.500
H: 0.084 0.922 0.000
H: 0.416 0.422 0.000
H: 0.422 0.584 0.500
H: 0.578 0.416 0.500
H: 0.584 0.578 0.000
H: 0.916 0.078 0.000
H: 0.922 0.916 0.500

Peak list (12 most intense, 5 to 70 degrees two-theta, sorted by position)
- 7.094 Å, rel. 32
- 3.172 Å, rel. 30
- 2.951 Å, rel. 100
- 2.782 Å, rel. 13
- 2.508 Å, rel. 17
- 2.466 Å, rel. 19
- 2.433 Å, rel. 12
- 2.269 Å, rel. 14
- 1.959 Å, rel. 11
- 1.682 Å, rel. 12
- 1.575 Å, rel. 11
- 1.538 Å, rel. 10

6.
For MgAl4H12O12, a cell relaxed with GGA-PBE gives the computed XRD peak list in this record (Cu Kα (λ = 1.5418 Å)).

Atomic structure:
a b c (Å): 5.305 6.884 7.105
angles (deg): 87.92 73.40 83.77
Element x y z (fractional)
Mg: 0.000 0.000 0.000
Al: 0.360 0.637 0.202
Al: 0.525 0.882 0.876
Al: 0.822 0.475 0.348
Al: 0.856 0.187 0.659
H: 0.092 0.112 0.313
H: 0.121 0.575 0.549
H: 0.131 0.421 0.002
H: 0.267 0.268 0.715
H: 0.320 0.843 0.621
H: 0.456 0.282 0.315
H: 0.581 0.211 0.031
H: 0.595 0.498 0.721
H: 0.666 0.833 0.298
H: 0.751 0.997 0.232
H: 0.818 0.593 0.949
H: 0.881 0.835 0.542
O: 0.031 0.227 0.400
O: 0.065 0.621 0.435
O: 0.087 0.248 0.792
O: 0.091 0.515 0.109
O: 0.268 0.848 0.765
O: 0.281 0.887 0.117
O: 0.564 0.377 0.234
O: 0.591 0.700 0.344
O: 0.636 0.399 0.616
O: 0.638 0.125 0.914
O: 0.641 0.634 0.936
O: 0.787 0.934 0.643

Peak list (12 most intense, 5 to 70 degrees two-theta, sorted by position)
- 4.840 Å, rel. 100
- 4.813 Å, rel. 16
- 4.757 Å, rel. 27
- 4.282 Å, rel. 27
- 3.051 Å, rel. 15
- 2.920 Å, rel. 12
- 2.654 Å, rel. 16
- 2.396 Å, rel. 18
- 2.320 Å, rel. 15
- 2.052 Å, rel. 12
- 1.981 Å, rel. 13
- 1.881 Å, rel. 20

Copy entry 4 word for word.
For LiPmAlH6, a cell relaxed with GGA-PBE gives the computed XRD peak list in this record (Cu Kα (λ = 1.5418 Å)).

Atomic structure:
a b c (Å): 4.439 4.439 4.604
angles (deg): 90.00 90.00 120.00
Element x y z (fractional)
Li: 0.000 0.000 0.000
Pm: 0.333 0.667 0.500
Al: 0.667 0.333 0.000
H: 0.337 0.169 0.267
H: 0.337 0.169 0.733
H: 0.831 0.169 0.267
H: 0.831 0.169 0.733
H: 0.831 0.663 0.267
H: 0.831 0.663 0.733

Peak list (12 most intense, 5 to 70 degrees two-theta, sorted by position)
- 4.604 Å, rel. 25
- 3.844 Å, rel. 60
- 2.951 Å, rel. 100
- 2.302 Å, rel. 9
- 2.220 Å, rel. 26
- 1.999 Å, rel. 16
- 1.975 Å, rel. 21
- 1.922 Å, rel. 10
- 1.774 Å, rel. 23
- 1.598 Å, rel. 19
- 1.425 Å, rel. 11
- 1.386 Å, rel. 20

- Number 6 is which compound?
  MgAl4H12O12